Starting from a DFT-relaxed cell (GGA+U, Alexandria), the powder diffractogram of VH6SO10 was computed for Cu Kα X-rays.
Lines closer than 0.1° are merged.

Crystal structure
```
VH6SO10
1.0
7.4410 0.0000 0.0000
2.6584 7.3214 0.0000
2.3323 0.4945 7.5875
V H S O
2 12 2 20
direct
0.2181 0.1339 0.3053
0.7819 0.8661 0.6947
0.0391 0.5328 0.2328
0.1324 0.5549 0.6630
0.2704 0.1192 0.9407
0.3934 0.2389 0.9762
0.4226 0.3930 0.4461
0.4628 0.8546 0.7107
0.5372 0.1454 0.2893
0.5774 0.6070 0.5539
0.6066 0.7611 0.0238
0.7296 0.8808 0.0593
0.8676 0.4451 0.3370
0.9609 0.4672 0.7672
0.0575 0.0924 0.7342
0.9425 0.9076 0.2658
0.0075 0.4176 0.2707
0.0080 0.9174 0.7503
0.0682 0.1741 0.5440
0.0909 0.7691 0.1532
0.2558 0.0421 0.7660
0.3049 0.1671 0.0332
0.3417 0.9214 0.3269
0.4032 0.2392 0.3036
0.4208 0.4589 0.5442
0.4671 0.4811 0.9454
0.5329 0.5189 0.0546
0.5792 0.5411 0.4558
0.5968 0.7608 0.6964
0.6583 0.0786 0.6731
0.6951 0.8329 0.9668
0.7442 0.9579 0.2340
0.9091 0.2309 0.8468
0.9318 0.8259 0.4560
0.9920 0.0826 0.2497
0.9925 0.5824 0.7293
```

Peak list (6 most intense, 10° ≤ 2θ ≤ 90°, by angle)
| 2θ (°) | d_spacing | I/Imax | h k l |
| --- | --- | --- | --- |
| 12.11 | 7.306 | 100 | 0 1 0 |
| 15.14 | 5.851 | 32 | 1 0 1 |
| 20.50 | 4.332 | 75 | 1 -1 0 |
| 23.45 | 3.794 | 30 | 0 0 2 |
| 23.78 | 3.741 | 30 | 1 2 0 |
| 27.18 | 3.281 | 35 | 0 1 -2 |